Entry 1:
For MgIrNO, a cell relaxed with GGA-PBE gives the theoretical powder diffraction line list in this record (Cu Kα).

Crystal structure
```
data_MgIrNO
_space_group_name_H-M_alt 'P c a 21'
_space_group_IT_number 29
_cell_length_a 5.2298
_cell_length_b 7.0217
_cell_length_c 5.0395
_cell_angle_alpha 90.00
_cell_angle_beta 90.00
_cell_angle_gamma 90.00
loop_
_space_group_symop_operation_xyz
'x,y,z'
'-x,-y,z+1/2'
'-x+1/2,y,z+1/2'
'x+1/2,-y,z'
loop_
_atom_site_label
_atom_site_fract_x
_atom_site_fract_y
_atom_site_fract_z
Mg1 0.0778 0.1185 0.0000
Ir1 0.0354 0.5738 0.0470
N1 0.1135 0.6649 0.6739
O1 0.0670 0.1258 0.6141
```

Principal peaks in the range 10 to 90 degrees two-theta, low angle first:
12.61 deg, intensity 100, (0 1 0); 27.67 deg, intensity 16, (1 1 1); 34.29 deg, intensity 18, (2 0 0); 35.60 deg, intensity 58, (0 0 2); 36.67 deg, intensity 14, (2 1 0); 37.94 deg, intensity 15, (0 1 2); 46.15 deg, intensity 24, (1 3 1); 58.40 deg, intensity 14, (1 4 1)

=====

Entry 2:
For Sb2OsC6O6F12, a cell relaxed with GGA-PBE gives the theoretical powder diffraction line list in this record (Cu Kα).

Crystal structure
```
data_Sb2OsC6O6F12
_space_group_name_H-M_alt 'P 4/m n c'
_space_group_IT_number 128
_space_group_name_Hall '-P 4 2n'
_cell_length_a 7.6992
_cell_length_b 7.6992
_cell_length_c 11.5833
_cell_angle_alpha 90.00
_cell_angle_beta 90.00
_cell_angle_gamma 90.00
loop_
_atom_site_label
_atom_site_fract_x
_atom_site_fract_y
_atom_site_fract_z
Sb1 0.0000 0.5000 0.2500
Os1 0.0000 0.0000 0.0000
C1 0.0000 0.0000 0.1727
C2 0.1392 0.2216 0.0000
O1 0.0000 0.0000 0.2711
O2 0.1525 0.2834 0.5000
F1 0.1171 0.6259 0.1316
F2 0.1744 0.3256 0.2500
```

Principal peaks in the range 10 to 90 degrees two-theta, low angle first:
13.81 deg, intensity 78, (1 0 1); 22.41 deg, intensity 100, (1 1 2); 23.10 deg, intensity 41, (2 0 0); 27.02 deg, intensity 28, (2 1 1); 32.90 deg, intensity 34, (2 2 0); 40.18 deg, intensity 34, (3 1 2); 45.75 deg, intensity 23, (2 2 4); 53.21 deg, intensity 17, (4 2 0)

=====

Entry 3:
For GdErMg6, a cell relaxed with GGA-PBE gives the theoretical powder diffraction line list in this record (Cu Kα).

Crystal structure
```
data_GdErMg6
_space_group_name_H-M_alt 'P m m 2'
_space_group_IT_number 25
_cell_length_a 5.1733
_cell_length_b 7.3213
_cell_length_c 5.1745
_cell_angle_alpha 90.00
_cell_angle_beta 90.00
_cell_angle_gamma 90.00
loop_
_space_group_symop_operation_xyz
'x,y,z'
'-x,-y,z'
'-x,y,z'
'x,-y,z'
loop_
_atom_site_label
_atom_site_fract_x
_atom_site_fract_y
_atom_site_fract_z
Gd1 0.0000 0.0000 0.0000
Er1 0.5000 0.5000 0.4918
Mg1 0.0000 0.2525 0.5005
Mg2 0.0000 0.5000 0.9996
Mg3 0.5000 0.0000 0.4927
Mg4 0.5000 0.2526 0.9914
```

Principal peaks in the range 10 to 90 degrees two-theta, low angle first:
21.03 deg, intensity 74, (1 1 0); 24.32 deg, intensity 39, (1 0 1); 34.67 deg, intensity 100, (2 0 0); 40.90 deg, intensity 41, (2 1 1); 49.84 deg, intensity 18, (2 0 2); 54.67 deg, intensity 18, (3 1 0); 56.21 deg, intensity 16, (3 0 1); 62.14 deg, intensity 36, (3 2 1)

=====

Entry 4:
For Nd2Ho2CI2Br3, a cell relaxed with GGA-PBE gives the theoretical powder diffraction line list in this record (Cu Kα).

Crystal structure
```
data_Nd2Ho2CI2Br3
_space_group_name_H-M_alt 'C 1 2/m 1'
_space_group_IT_number 12
_cell_length_a 18.8868
_cell_length_b 3.9551
_cell_length_c 8.4294
_cell_angle_alpha 90.00
_cell_angle_beta 102.25
_cell_angle_gamma 90.00
loop_
_space_group_symop_operation_xyz
'x,y,z'
'-x,-y,-z'
'-x,y,-z'
'x,-y,z'
'x+1/2,y+1/2,z'
'-x+1/2,-y+1/2,-z'
'-x+1/2,y+1/2,-z'
'x+1/2,-y+1/2,z'
loop_
_atom_site_label
_atom_site_fract_x
_atom_site_fract_y
_atom_site_fract_z
Nd1 0.0000 0.0000 0.2062
Ho1 0.1299 0.5000 0.0671
C1 0.0000 0.5000 0.0000
I1 0.1730 0.0000 0.8234
Br1 0.0000 0.5000 0.5000
Br2 0.1617 0.0000 0.3188
```

Principal peaks in the range 10 to 90 degrees two-theta, low angle first:
10.74 deg, intensity 61, (0 0 1); 29.03 deg, intensity 37, (6 0 0); 31.01 deg, intensity 100, (1 1 -2); 33.20 deg, intensity 31, (5 1 0); 33.30 deg, intensity 19, (5 1 -1); 42.82 deg, intensity 24, (5 1 2); 43.16 deg, intensity 21, (7 1 -2); 45.89 deg, intensity 18, (0 2 0)

=====

Entry 5:
For Hf4Mo2P3C3, a cell relaxed with GGA-PBE gives the theoretical powder diffraction line list in this record (Cu Kα).

Crystal structure
```
data_Hf4Mo2P3C3
_space_group_name_H-M_alt 'C 1 2/c 1'
_space_group_IT_number 15
_cell_length_a 9.9600
_cell_length_b 5.7695
_cell_length_c 12.2980
_cell_angle_alpha 90.00
_cell_angle_beta 105.54
_cell_angle_gamma 90.00
loop_
_space_group_symop_operation_xyz
'x,y,z'
'-x,-y,-z'
'-x,y,-z+1/2'
'x,-y,z+1/2'
'x+1/2,y+1/2,z'
'-x+1/2,-y+1/2,-z'
'-x+1/2,y+1/2,-z+1/2'
'x+1/2,-y+1/2,z+1/2'
loop_
_atom_site_label
_atom_site_fract_x
_atom_site_fract_y
_atom_site_fract_z
Hf1 0.1186 0.0824 0.1059
Hf2 0.2143 0.0843 0.3942
Mo1 0.0564 0.4145 0.9106
P1 0.0000 0.1110 0.7500
P2 0.1536 0.4300 0.2506
C1 0.0843 0.2469 0.5001
C2 0.2500 0.2500 0.0000
```

Principal peaks in the range 10 to 90 degrees two-theta, low angle first:
30.17 deg, intensity 29, (0 0 4); 31.05 deg, intensity 45, (3 1 -1); 31.98 deg, intensity 59, (3 1 -2); 38.67 deg, intensity 100, (0 2 3); 38.75 deg, intensity 49, (3 1 -4); 55.20 deg, intensity 28, (3 3 -1); 63.74 deg, intensity 15, (0 2 7); 69.54 deg, intensity 17, (6 2 1)

=====

Entry 6:
For DyHoSi2W2C, a cell relaxed with GGA-PBE gives the theoretical powder diffraction line list in this record (Cu Kα).

Crystal structure
```
data_DyHoSi2W2C
_space_group_name_H-M_alt 'C 1 m 1'
_space_group_IT_number 8
_cell_length_a 11.0823
_cell_length_b 3.8293
_cell_length_c 7.1121
_cell_angle_alpha 90.00
_cell_angle_beta 125.28
_cell_angle_gamma 90.00
loop_
_space_group_symop_operation_xyz
'x,y,z'
'x,-y,z'
'x+1/2,y+1/2,z'
'x+1/2,-y+1/2,z'
loop_
_atom_site_label
_atom_site_fract_x
_atom_site_fract_y
_atom_site_fract_z
Dy1 0.0000 0.0000 0.0000
Ho1 0.1490 0.0000 0.5915
Si1 0.2060 0.5000 0.9564
Si2 0.4432 0.0000 0.6352
W1 0.2820 0.5000 0.3804
W2 0.3675 0.0000 0.2121
C1 0.0749 0.5000 0.2968
```

Principal peaks in the range 10 to 90 degrees two-theta, low angle first:
15.26 deg, intensity 31, (0 0 1); 31.31 deg, intensity 51, (2 0 1); 33.76 deg, intensity 93, (3 1 -1); 35.35 deg, intensity 100, (1 1 -2); 37.98 deg, intensity 20, (3 1 0); 40.19 deg, intensity 29, (4 0 -3); 47.48 deg, intensity 27, (0 2 0); 63.93 deg, intensity 20, (4 2 -3)

=====

Entry 7:
For SmLu2Ag4Ge4, a cell relaxed with GGA-PBE gives the theoretical powder diffraction line list in this record (Cu Kα).

Crystal structure
```
data_SmLu2Ag4Ge4
_space_group_name_H-M_alt 'I m m m'
_space_group_IT_number 71
_space_group_name_Hall '-I 2 2'
_cell_length_a 4.2773
_cell_length_b 7.2052
_cell_length_c 14.4516
_cell_angle_alpha 90.00
_cell_angle_beta 90.00
_cell_angle_gamma 90.00
loop_
_atom_site_label
_atom_site_fract_x
_atom_site_fract_y
_atom_site_fract_z
Sm1 0.0000 0.0000 0.0000
Lu1 0.0000 0.5000 0.1251
Ag1 0.0000 0.3019 0.3305
Ge1 0.0000 0.0000 0.2198
Ge2 0.0000 0.1803 0.5000
```

Principal peaks in the range 10 to 90 degrees two-theta, low angle first:
33.10 deg, intensity 100, (1 2 1); 33.40 deg, intensity 29, (0 1 5); 34.81 deg, intensity 97, (1 1 4); 37.59 deg, intensity 39, (1 2 3); 42.04 deg, intensity 37, (0 3 3); 42.26 deg, intensity 41, (2 0 0); 61.13 deg, intensity 24, (2 3 3); 74.23 deg, intensity 22, (1 5 4)

=====

Entry 8:
For PrGe3AsPt6, a cell relaxed with GGA-PBE gives the theoretical powder diffraction line list in this record (Cu Kα).

Crystal structure
```
data_PrGe3AsPt6
_space_group_name_H-M_alt 'P -6 m 2'
_space_group_IT_number 187
_space_group_name_Hall 'P -6 2'
_cell_length_a 7.3349
_cell_length_b 7.3349
_cell_length_c 4.1398
_cell_angle_alpha 90.00
_cell_angle_beta 90.00
_cell_angle_gamma 120.00
loop_
_atom_site_label
_atom_site_fract_x
_atom_site_fract_y
_atom_site_fract_z
Pr1 0.0000 0.0000 0.0000
Ge1 0.3896 0.1948 0.5000
As1 0.3333 0.6667 0.0000
Pt1 0.1933 0.3866 0.5000
Pt2 0.5357 0.0714 0.0000
```

Principal peaks in the range 10 to 90 degrees two-theta, low angle first:
25.69 deg, intensity 15, (1 0 1); 35.63 deg, intensity 100, (2 0 1); 37.46 deg, intensity 23, (2 1 0); 42.70 deg, intensity 17, (3 0 0); 43.58 deg, intensity 36, (2 1 1); 43.73 deg, intensity 25, (0 0 2); 49.72 deg, intensity 22, (2 2 0); 68.34 deg, intensity 17, (2 2 2)

=====

Entry 9:
For CsRbZrAg2Se4, a cell relaxed with GGA-PBE gives the theoretical powder diffraction line list in this record (Cu Kα).

Crystal structure
```
data_CsRbZrAg2Se4
_space_group_name_H-M_alt 'P 1 2 1'
_space_group_IT_number 3
_cell_length_a 6.3272
_cell_length_b 6.3131
_cell_length_c 7.8303
_cell_angle_alpha 90.00
_cell_angle_beta 113.12
_cell_angle_gamma 90.00
loop_
_space_group_symop_operation_xyz
'x,y,z'
'-x,y,-z'
loop_
_atom_site_label
_atom_site_fract_x
_atom_site_fract_y
_atom_site_fract_z
Cs1 0.0000 0.0000 0.0000
Rb1 0.5000 0.4761 0.0000
Zr1 0.5000 0.7352 0.5000
Ag1 0.0000 0.7370 0.5000
Ag2 0.5000 0.2372 0.5000
Se1 0.1635 0.5041 0.2885
Se2 0.3724 0.9678 0.7118
```

Principal peaks in the range 10 to 90 degrees two-theta, low angle first:
12.29 deg, intensity 38, (0 0 1); 27.14 deg, intensity 100, (1 1 1); 27.38 deg, intensity 97, (1 1 -2); 30.73 deg, intensity 28, (2 0 0); 30.96 deg, intensity 83, (2 0 -2); 40.36 deg, intensity 89, (2 2 -1); 47.59 deg, intensity 42, (0 2 3); 49.54 deg, intensity 35, (3 1 -3)

=====

Entry 10:
For YEr2Tm2Lu2Ni2Te2, a cell relaxed with GGA-PBE gives the theoretical powder diffraction line list in this record (Cu Kα).

Crystal structure
```
data_YEr2Tm2Lu2Ni2Te2
_space_group_name_H-M_alt 'I m m 2'
_space_group_IT_number 44
_cell_length_a 3.8233
_cell_length_b 15.3907
_cell_length_c 9.4423
_cell_angle_alpha 90.00
_cell_angle_beta 90.00
_cell_angle_gamma 90.00
loop_
_space_group_symop_operation_xyz
'x,y,z'
'-x,-y,z'
'-x,y,z'
'x,-y,z'
'x+1/2,y+1/2,z+1/2'
'-x+1/2,-y+1/2,z+1/2'
'-x+1/2,y+1/2,z+1/2'
'x+1/2,-y+1/2,z+1/2'
loop_
_atom_site_label
_atom_site_fract_x
_atom_site_fract_y
_atom_site_fract_z
Y1 0.0000 0.0000 0.0000
Er1 0.0000 0.1336 0.4178
Tm1 0.0000 0.3515 0.2697
Lu1 0.0000 0.3143 0.6213
Ni1 0.0000 0.2375 0.9292
Te1 0.0000 0.0000 0.6638
Te2 0.0000 0.5000 0.7653
```

Principal peaks in the range 10 to 90 degrees two-theta, low angle first:
25.13 deg, intensity 27, (1 0 1); 30.62 deg, intensity 63, (1 1 2); 33.40 deg, intensity 85, (0 3 3); 34.41 deg, intensity 100, (1 4 1); 34.92 deg, intensity 88, (0 6 0); 38.87 deg, intensity 22, (1 2 3); 47.57 deg, intensity 30, (2 0 0); 59.36 deg, intensity 33, (2 3 3)

=====

Entry 11:
For Li4AlAg2As, a cell relaxed with GGA-PBE gives the theoretical powder diffraction line list in this record (Cu Kα).

Crystal structure
```
data_Li4AlAg2As
_space_group_name_H-M_alt 'P -4 m 2'
_space_group_IT_number 115
_cell_length_a 4.3661
_cell_length_b 4.3661
_cell_length_c 6.4733
_cell_angle_alpha 90.00
_cell_angle_beta 90.00
_cell_angle_gamma 90.00
loop_
_space_group_symop_operation_xyz
'x,y,z'
'y,-x,-z'
'-x,-y,z'
'-y,x,-z'
'-x,y,z'
'-y,-x,-z'
'x,-y,z'
'y,x,-z'
loop_
_atom_site_label
_atom_site_fract_x
_atom_site_fract_y
_atom_site_fract_z
Li1 0.0000 0.0000 0.0000
Li2 0.0000 0.5000 0.2374
Li3 0.5000 0.5000 0.5000
Al1 0.0000 0.0000 0.5000
Ag1 0.0000 0.5000 0.7374
As1 0.5000 0.5000 0.0000
```

Principal peaks in the range 10 to 90 degrees two-theta, low angle first:
24.59 deg, intensity 100, (1 0 1); 40.37 deg, intensity 58, (1 1 2); 41.36 deg, intensity 28, (2 0 0); 46.97 deg, intensity 16, (1 0 3); 48.71 deg, intensity 30, (2 1 1); 64.35 deg, intensity 12, (2 1 3); 72.74 deg, intensity 9, (2 0 4); 74.75 deg, intensity 18, (3 1 2)

=====

Entry 12:
For K2TlCuBr6, a cell relaxed with GGA-PBE gives the theoretical powder diffraction line list in this record (Cu Kα).

Crystal structure
```
data_K2TlCuBr6
_space_group_name_H-M_alt 'I 4/m'
_space_group_IT_number 87
_space_group_name_Hall '-I 4'
_cell_length_a 7.4848
_cell_length_b 7.4848
_cell_length_c 11.3293
_cell_angle_alpha 90.00
_cell_angle_beta 90.00
_cell_angle_gamma 90.00
loop_
_atom_site_label
_atom_site_fract_x
_atom_site_fract_y
_atom_site_fract_z
K1 0.0000 0.5000 0.2500
Tl1 0.0000 0.0000 0.0000
Cu1 0.0000 0.0000 0.5000
Br1 0.0000 0.0000 0.2512
Br2 0.1721 0.7087 0.5000
```

Principal peaks in the range 10 to 90 degrees two-theta, low angle first:
15.64 deg, intensity 75, (0 0 2); 16.75 deg, intensity 100, (1 1 0); 27.79 deg, intensity 90, (1 2 1); 31.59 deg, intensity 81, (0 0 4); 33.87 deg, intensity 85, (2 2 0); 38.02 deg, intensity 57, (3 1 0); 46.99 deg, intensity 66, (2 2 4); 50.23 deg, intensity 55, (3 1 4)